Calculated X-ray diffraction stick pattern of CaErBeN2 for a wavelength of 1.5418 Å, from a cell relaxed with PBE.

Structural model:
a = 5.035 Å, b = 5.101 Å, c = 6.478 Å
α = 90.00°, β = 90.00°, γ = 90.00°
Atoms (fractional coordinates):
Ca: 0.000 0.000 0.250
Ca: 0.000 0.000 0.750
Er: 0.500 0.500 0.250
Er: 0.500 0.500 0.750
Be: 0.500 0.000 0.000
Be: 0.500 0.000 0.500
N: 0.307 0.238 0.000
N: 0.307 0.762 0.500
N: 0.693 0.238 0.500
N: 0.693 0.762 0.000

Top 12 peaks for 10 to 90 degrees two-theta, in order of falling intensity:
24.8 deg, d 3.583, rel. 100; 37.4 deg, d 2.403, rel. 78; 17.6 deg, d 5.035, rel. 54; 17.4 deg, d 5.101, rel. 35; 27.5 deg, d 3.239, rel. 28; 45.3 deg, d 2.004, rel. 25; 45.6 deg, d 1.988, rel. 23; 32.8 deg, d 2.734, rel. 21; 51.0 deg, d 1.792, rel. 18; 35.7 deg, d 2.517, rel. 18; 35.2 deg, d 2.550, rel. 18; 58.9 deg, d 1.568, rel. 15



Calculated X-ray diffraction stick pattern of RbCu2SbF8 for a wavelength of 1.5418 Å, from a cell relaxed with PBE.

Structural model:
a = 9.103 Å, b = 9.103 Å, c = 9.103 Å
α = 35.18°, β = 35.18°, γ = 35.18°
Atoms (fractional coordinates):
Rb: 0.000 0.000 0.000
Cu: 0.265 0.265 0.265
Cu: 0.735 0.735 0.735
Sb: 0.500 0.500 0.500
F: 0.117 0.621 0.621
F: 0.336 0.336 0.336
F: 0.379 0.379 0.883
F: 0.379 0.883 0.379
F: 0.621 0.117 0.621
F: 0.621 0.621 0.117
F: 0.664 0.664 0.664
F: 0.883 0.379 0.379

Top 12 peaks for 10 to 90 degrees two-theta, in order of falling intensity:
23.3 deg, d 3.821, rel. 100; 32.6 deg, d 2.751, rel. 40; 52.8 deg, d 1.733, rel. 20; 33.7 deg, d 2.656, rel. 20; 47.6 deg, d 1.911, rel. 18; 54.4 deg, d 1.685, rel. 17; 18.9 deg, d 4.684, rel. 13; 68.2 deg, d 1.375, rel. 8; 58.8 deg, d 1.569, rel. 8; 39.0 deg, d 2.312, rel. 8; 40.4 deg, d 2.232, rel. 7; 73.1 deg, d 1.294, rel. 7



Calculated X-ray diffraction stick pattern of Li2PrAsO4 for a wavelength of 1.5418 Å, from a cell relaxed with PBE.

Structural model:
a = 7.207 Å, b = 7.207 Å, c = 9.410 Å
α = 90.00°, β = 90.00°, γ = 150.93°
Atoms (fractional coordinates):
Li: 0.082 0.918 0.546
Li: 0.082 0.918 0.954
Li: 0.918 0.082 0.046
Li: 0.918 0.082 0.454
Pr: 0.462 0.538 0.750
Pr: 0.538 0.462 0.250
As: 0.250 0.750 0.250
As: 0.750 0.250 0.750
O: 0.065 0.935 0.750
O: 0.167 0.833 0.114
O: 0.167 0.833 0.386
O: 0.500 0.500 0.000
O: 0.500 0.500 0.500
O: 0.833 0.167 0.614
O: 0.833 0.167 0.886
O: 0.935 0.065 0.250

Top 12 peaks for 10 to 90 degrees two-theta, in order of falling intensity:
18.9 deg, d 4.705, rel. 100; 32.8 deg, d 2.732, rel. 85; 31.9 deg, d 2.806, rel. 63; 25.5 deg, d 3.495, rel. 57; 46.5 deg, d 1.952, rel. 36; 42.8 deg, d 2.111, rel. 35; 15.8 deg, d 5.604, rel. 34; 31.3 deg, d 2.856, rel. 33; 53.4 deg, d 1.716, rel. 32; 60.7 deg, d 1.525, rel. 27; 12.7 deg, d 6.976, rel. 26; 27.2 deg, d 3.277, rel. 23



Calculated X-ray diffraction stick pattern of Er4AgHgRu2 for a wavelength of 1.5418 Å, from a cell relaxed with PBE.

Structural model:
a = 8.561 Å, b = 8.561 Å, c = 8.561 Å
α = 33.65°, β = 33.65°, γ = 33.65°
Atoms (fractional coordinates):
Er: 0.123 0.123 0.123
Er: 0.373 0.373 0.373
Er: 0.627 0.627 0.627
Er: 0.877 0.877 0.877
Ag: 0.000 0.000 0.000
Hg: 0.500 0.500 0.500
Ru: 0.250 0.250 0.250
Ru: 0.750 0.750 0.750

Top 12 peaks for 10 to 90 degrees two-theta, in order of falling intensity:
36.3 deg, d 2.476, rel. 100; 65.2 deg, d 1.430, rel. 27; 52.3 deg, d 1.750, rel. 18; 65.4 deg, d 1.427, rel. 9; 88.2 deg, d 1.108, rel. 8; 88.3 deg, d 1.106, rel. 8; 77.0 deg, d 1.239, rel. 6; 77.1 deg, d 1.237, rel. 5; 22.0 deg, d 4.042, rel. 2; 25.4 deg, d 3.501, rel. 2; 27.8 deg, d 3.212, rel. 1; 21.0 deg, d 4.226, rel. 1



Calculated X-ray diffraction stick pattern of SrNd3Rh8 for a wavelength of 1.5418 Å, from a cell relaxed with PBE.

Structural model:
a = 9.434 Å, b = 9.434 Å, c = 9.434 Å
α = 33.42°, β = 33.42°, γ = 33.42°
Atoms (fractional coordinates):
Sr: 0.000 0.000 0.000
Nd: 0.124 0.124 0.124
Nd: 0.501 0.501 0.501
Nd: 0.627 0.627 0.627
Rh: 0.063 0.063 0.560
Rh: 0.063 0.560 0.063
Rh: 0.065 0.564 0.564
Rh: 0.313 0.313 0.313
Rh: 0.560 0.063 0.063
Rh: 0.564 0.065 0.564
Rh: 0.564 0.564 0.065
Rh: 0.813 0.813 0.813

Top 12 peaks for 10 to 90 degrees two-theta, in order of falling intensity:
38.9 deg, d 2.318, rel. 100; 33.0 deg, d 2.717, rel. 45; 40.7 deg, d 2.216, rel. 33; 38.9 deg, d 2.314, rel. 33; 62.8 deg, d 1.479, rel. 24; 69.0 deg, d 1.360, rel. 18; 69.3 deg, d 1.356, rel. 18; 62.9 deg, d 1.477, rel. 16; 58.9 deg, d 1.567, rel. 13; 40.6 deg, d 2.225, rel. 11; 82.4 deg, d 1.171, rel. 11; 83.5 deg, d 1.158, rel. 8



> What is the formula in the fourth record?

Er4AgHgRu2